Structure and computed powder X-ray diffraction pattern of LaMnFeSi2 (a DFT-relaxed cell (GGA-PBE, the Materials Project); Cu Kα, 1.54184 Å).
No peak broadening, texture or thermal motion is included.

Cell and atoms:
```
5
Lattice="-2.012 2.012 5.188 2.012 -2.012 5.188 2.012 2.012 -5.188" Properties=species:S:1:pos:R:3 pbc="T T T"
La 0.000 0.000 0.000
Mn 2.012 0.000 2.594
Fe 0.000 2.012 2.594
Si 0.000 0.000 3.826
Si 0.000 0.000 6.550
```

Top 10 peaks for 2θ from 10° to 80°, by angle:
| 2theta | I_rel |
| --- | --- |
| 23.72 | 44 |
| 34.19 | 62 |
| 34.58 | 17 |
| 36.01 | 100 |
| 45.07 | 40 |
| 49.42 | 19 |
| 57.76 | 27 |
| 58.02 | 15 |
| 62.89 | 21 |
| 77.21 | 20 |